Theoretical XRD peak list of LiB4C4 for Cu Kα (λ = 1.5418 Å), from a GGA-PBE-relaxed structure.

Atomic structure:
```
data_LiB4C4
_symmetry_space_group_name_H-M 'P -3 m 1'
_symmetry_Int_Tables_number 164
_symmetry_space_group_name_Hall '-P 3 2"'
_cell_length_a 2.7252
_cell_length_b 2.7252
_cell_length_c 24.5529
_cell_angle_alpha 90.00
_cell_angle_beta 90.00
_cell_angle_gamma 120.00
loop_
_atom_site_label
_atom_site_type_symbol
_atom_site_fract_x
_atom_site_fract_y
_atom_site_fract_z
Li1 Li 0.0000 0.0000 0.1369
B1 B 0.3333 0.6667 0.2091
B2 B 0.3333 0.6667 0.4272
B3 B 0.3333 0.6667 0.6530
B4 B 0.3333 0.6667 0.9363
C1 C 0.3333 0.6667 0.0660
C2 C 0.3333 0.6667 0.3455
C3 C 0.3333 0.6667 0.5711
C4 C 0.3333 0.6667 0.7931
```

Top 10 peaks for 5 to 70 degrees two-theta, low angle first:
(0 0 4), 2θ 14.4, d 6.138, I = 100; (0 0 5), 2θ 18.1, d 4.911, I = 78; (0 0 6), 2θ 21.7, d 4.092, I = 24; (0 0 7), 2θ 25.4, d 3.508, I = 80; (0 0 8), 2θ 29.1, d 3.069, I = 90; (1 0 0), 2θ 38.1, d 2.360, I = 70; (1 0 7), 2θ 46.4, d 1.958, I = 33; (1 0 8), 2θ 48.7, d 1.871, I = 37; (0 0 14), 2θ 52.2, d 1.754, I = 30; (1 1 0), 2θ 68.9, d 1.363, I = 49